Starting from a cell relaxed with PBE, the powder X-ray diffraction pattern of LiPm2Sb2 was computed for Cu Kα X-rays.

a = 8.001 Å, b = 8.001 Å, c = 8.001 Å
α = 131.81°, β = 69.94°, γ = 132.56°
Fractional coordinates of all 10 atoms:
Li  0.250  0.250  0.000
Li  0.750  0.750  0.000
Pm  0.141  0.718  0.858
Pm  0.359  0.218  0.577
Pm  0.641  0.782  0.423
Pm  0.859  0.282  0.142
Sb  0.118  0.237  0.356
Sb  0.382  0.737  0.119
Sb  0.618  0.263  0.881
Sb  0.882  0.763  0.644

Largest 6 diffraction maxima, sorted by position, 2θ from 10° to 90°:
2θ (°)	I_rel
27.20	64.1
27.30	63.3
27.72	67.7
38.92	46.4
39.26	100.0
48.45	47.3

---

Starting from a cell relaxed with PBE, the powder X-ray diffraction pattern of Li2PmSbSe4 was computed for Cu Kα X-rays.

a = 6.938 Å, b = 4.126 Å, c = 7.168 Å
α = 90.00°, β = 110.04°, γ = 90.00°
Fractional coordinates of all 8 atoms:
Li  0.000  0.000  0.000
Li  0.000  0.500  0.500
Pm  0.500  0.000  0.500
Sb  0.500  0.500  0.000
Se  0.241  0.000  0.752
Se  0.242  0.500  0.242
Se  0.758  0.500  0.758
Se  0.759  0.000  0.248

Largest 6 diffraction maxima, sorted by position, 2θ from 10° to 90°:
2θ (°)	I_rel
13.59	38.1
25.30	32.6
30.97	100.0
33.96	17.9
43.78	25.4
44.91	35.1

---

Starting from a cell relaxed with PBE, the powder X-ray diffraction pattern of LiPm5Se8 was computed for Cu Kα X-rays.

a = 7.675 Å, b = 7.675 Å, c = 7.675 Å
α = 109.81°, β = 109.81°, γ = 108.80°
Fractional coordinates of all 14 atoms:
Li  0.000  0.000  0.000
Pm  0.118  0.499  0.874
Pm  0.250  0.750  0.500
Pm  0.501  0.375  0.619
Pm  0.625  0.244  0.126
Pm  0.756  0.882  0.381
Se  0.025  0.271  0.390
Se  0.236  0.131  0.746
Se  0.365  0.975  0.246
Se  0.385  0.490  0.254
Se  0.510  0.764  0.895
Se  0.729  0.119  0.754
Se  0.869  0.615  0.105
Se  0.881  0.635  0.610

Largest 6 diffraction maxima, sorted by position, 2θ from 10° to 90°:
2θ (°)	I_rel
14.14	21.7
31.71	41.5
32.05	100.0
37.84	43.8
38.12	31.4
65.11	21.1

---

Starting from a cell relaxed with PBE, the powder X-ray diffraction pattern of Li2PmSiSe4 was computed for Cu Kα X-rays.

a = 7.951 Å, b = 7.951 Å, c = 7.951 Å
α = 122.24°, β = 118.07°, γ = 89.77°
Fractional coordinates of all 16 atoms:
Li  0.000  0.000  0.000
Li  0.500  0.000  0.000
Li  0.500  0.000  0.500
Li  0.500  0.500  0.500
Pm  0.000  0.500  0.500
Pm  0.500  0.500  0.000
Si  0.000  0.000  0.500
Si  0.000  0.500  0.000
Se  0.217  0.242  0.975
Se  0.233  0.758  0.475
Se  0.238  0.223  0.485
Se  0.238  0.752  0.015
Se  0.762  0.248  0.985
Se  0.762  0.777  0.515
Se  0.767  0.242  0.525
Se  0.783  0.758  0.025

Largest 6 diffraction maxima, sorted by position, 2θ from 10° to 90°:
2θ (°)	I_rel
13.96	41.5
25.91	31.1
31.77	50.9
31.96	100.0
34.46	21.1
45.69	70.0

---

Starting from a cell relaxed with PBE, the powder X-ray diffraction pattern of Li2PmSmSe4 was computed for Cu Kα X-rays.

a = 6.949 Å, b = 4.168 Å, c = 7.216 Å
α = 90.00°, β = 110.20°, γ = 90.00°
Fractional coordinates of all 8 atoms:
Li  0.000  0.000  0.000
Li  0.000  0.500  0.500
Pm  0.500  0.000  0.500
Sm  0.500  0.500  0.000
Se  0.242  0.000  0.749
Se  0.242  0.500  0.246
Se  0.758  0.000  0.251
Se  0.758  0.500  0.754

Largest 6 diffraction maxima, sorted by position, 2θ from 10° to 90°:
2θ (°)	I_rel
13.58	42.8
25.09	36.5
30.79	100.0
43.43	38.6
44.77	35.1
54.18	20.0

---

Starting from a cell relaxed with PBE, the powder X-ray diffraction pattern of LiPm3Sm2Se6 was computed for Cu Kα X-rays.

a = 7.197 Å, b = 7.197 Å, c = 7.214 Å
α = 99.62°, β = 99.62°, γ = 120.17°
Fractional coordinates of all 12 atoms:
Li  0.000  0.000  0.000
Pm  0.168  0.832  0.500
Pm  0.500  0.500  0.500
Pm  0.832  0.168  0.500
Sm  0.335  0.665  0.000
Sm  0.665  0.335  0.000
Se  0.080  0.402  0.241
Se  0.241  0.241  0.760
Se  0.402  0.080  0.241
Se  0.598  0.920  0.759
Se  0.759  0.759  0.240
Se  0.920  0.598  0.759

Largest 6 diffraction maxima, sorted by position, 2θ from 10° to 90°:
2θ (°)	I_rel
30.43	100.0
43.49	37.1
43.64	36.7
54.02	12.9
71.96	16.2
79.90	12.2

---

Repeat the first record exactly.
Starting from a cell relaxed with PBE, the powder X-ray diffraction pattern of LiPm2Sb2 was computed for Cu Kα X-rays.

a = 8.001 Å, b = 8.001 Å, c = 8.001 Å
α = 131.81°, β = 69.94°, γ = 132.56°
Fractional coordinates of all 10 atoms:
Li  0.250  0.250  0.000
Li  0.750  0.750  0.000
Pm  0.141  0.718  0.858
Pm  0.359  0.218  0.577
Pm  0.641  0.782  0.423
Pm  0.859  0.282  0.142
Sb  0.118  0.237  0.356
Sb  0.382  0.737  0.119
Sb  0.618  0.263  0.881
Sb  0.882  0.763  0.644

Largest 6 diffraction maxima, sorted by position, 2θ from 10° to 90°:
2θ (°)	I_rel
27.20	64.1
27.30	63.3
27.72	67.7
38.92	46.4
39.26	100.0
48.45	47.3